Entry 1:
Structure and theoretical powder XRD pattern of Ti4GaRu3 (a DFT-relaxed cell (GGA-PBE, Alexandria); a wavelength of 1.5418 Å).
No peak broadening, texture or thermal motion is included.

Cell and atoms:
```
data_Ti4GaRu3
_cell_length_a 3.1042
_cell_length_b 3.1042
_cell_length_c 12.3936
_cell_angle_alpha 90.00
_cell_angle_beta 90.00
_cell_angle_gamma 90.00
_symmetry_space_group_name_H-M 'P 1'
_symmetry_Int_Tables_number 1
loop_
_symmetry_equiv_pos_as_xyz
'x,y,z'
loop_
_atom_site_label
_atom_site_type_symbol
_atom_site_fract_x
_atom_site_fract_y
_atom_site_fract_z
_atom_site_occupancy
Ti1 Ti 0.0000 0.0000 0.1229 1
Ti2 Ti 0.0000 0.0000 0.3676 1
Ti3 Ti 0.0000 0.0000 0.6324 1
Ti4 Ti 0.0000 0.0000 0.8771 1
Ga1 Ga 0.5000 0.5000 0.5000 1
Ru1 Ru 0.5000 0.5000 0.0000 1
Ru2 Ru 0.5000 0.5000 0.2486 1
Ru3 Ru 0.5000 0.5000 0.7514 1
```

Peak list (6 most intense, 2θ from 10° to 80°, low angle first)
d/Å  Rel. int.
3.102  15
2.194  100
1.791  4
1.552  11
1.549  5
1.266  31



Entry 2:
Structure and theoretical powder XRD pattern of Sn3Pb7 (a DFT-relaxed cell (GGA-PBE, Alexandria); a wavelength of 1.5418 Å).
No peak broadening, texture or thermal motion is included.

Cell and atoms:
```
data_Sn3Pb7
_cell_length_a 8.1857
_cell_length_b 8.1857
_cell_length_c 6.9307
_cell_angle_alpha 98.52
_cell_angle_beta 98.52
_cell_angle_gamma 41.63
_symmetry_space_group_name_H-M 'P 1'
_symmetry_Int_Tables_number 1
loop_
_symmetry_equiv_pos_as_xyz
'x,y,z'
loop_
_atom_site_label
_atom_site_type_symbol
_atom_site_fract_x
_atom_site_fract_y
_atom_site_fract_z
_atom_site_occupancy
Sn1 Sn 0.0000 0.0000 0.0000 1
Sn2 Sn 0.1962 0.1962 0.7947 1
Sn3 Sn 0.8038 0.8038 0.2053 1
Pb1 Pb 0.0000 0.0000 0.5000 1
Pb2 Pb 0.2000 0.2000 0.2856 1
Pb3 Pb 0.3973 0.3973 0.0920 1
Pb4 Pb 0.3980 0.3980 0.5985 1
Pb5 Pb 0.6020 0.6020 0.4015 1
Pb6 Pb 0.6027 0.6027 0.9080 1
Pb7 Pb 0.8000 0.8000 0.7144 1
```

Peak list (6 most intense, 2θ from 10° to 80°, low angle first)
d/Å  Rel. int.
2.946  62
2.909  61
2.712  100
2.682  98
2.070  47
1.639  46



Entry 3:
Structure and theoretical powder XRD pattern of Ac3Zn2InPt6 (a DFT-relaxed cell (GGA-PBE, Alexandria); a wavelength of 1.5418 Å).
No peak broadening, texture or thermal motion is included.

Cell and atoms:
```
data_Ac3Zn2InPt6
_cell_length_a 5.9503
_cell_length_b 5.9503
_cell_length_c 9.1785
_cell_angle_alpha 90.00
_cell_angle_beta 90.00
_cell_angle_gamma 120.00
_symmetry_space_group_name_H-M 'P 1'
_symmetry_Int_Tables_number 1
loop_
_symmetry_equiv_pos_as_xyz
'x,y,z'
loop_
_atom_site_label
_atom_site_type_symbol
_atom_site_fract_x
_atom_site_fract_y
_atom_site_fract_z
_atom_site_occupancy
Ac1 Ac 0.0000 0.0000 0.0000 1
Ac2 Ac 0.3333 0.6667 0.6313 1
Ac3 Ac 0.6667 0.3333 0.3687 1
Zn1 Zn 0.3333 0.6667 0.0471 1
Zn2 Zn 0.6667 0.3333 0.9529 1
In1 In 0.0000 0.0000 0.5000 1
Pt1 Pt 0.1760 0.3520 0.2771 1
Pt2 Pt 0.1760 0.8240 0.2771 1
Pt3 Pt 0.3520 0.1760 0.7229 1
Pt4 Pt 0.6480 0.8240 0.2771 1
Pt5 Pt 0.8240 0.1760 0.7229 1
Pt6 Pt 0.8240 0.6480 0.7229 1
```

Peak list (6 most intense, 2θ from 10° to 80°, low angle first)
d/Å  Rel. int.
4.589  22
3.060  23
2.496  39
2.481  100
2.247  63
1.488  28



Entry 4:
Structure and theoretical powder XRD pattern of K3BiO3 (a DFT-relaxed cell (GGA-PBE, Alexandria); a wavelength of 1.5418 Å).
No peak broadening, texture or thermal motion is included.

Cell and atoms:
```
data_K3BiO3
_cell_length_a 9.4279
_cell_length_b 9.4279
_cell_length_c 9.4279
_cell_angle_alpha 109.47
_cell_angle_beta 109.47
_cell_angle_gamma 109.47
_symmetry_space_group_name_H-M 'P 1'
_symmetry_Int_Tables_number 1
loop_
_symmetry_equiv_pos_as_xyz
'x,y,z'
loop_
_atom_site_label
_atom_site_type_symbol
_atom_site_fract_x
_atom_site_fract_y
_atom_site_fract_z
_atom_site_occupancy
K1 K 0.0000 0.2703 0.5154 1
K2 K 0.0000 0.5154 0.2703 1
K3 K 0.2451 0.7297 0.7297 1
K4 K 0.2703 0.0000 0.5154 1
K5 K 0.2703 0.5154 0.0000 1
K6 K 0.4846 0.4846 0.7549 1
K7 K 0.4846 0.7549 0.4846 1
K8 K 0.5154 0.0000 0.2703 1
K9 K 0.5154 0.2703 0.0000 1
K10 K 0.7297 0.2451 0.7297 1
K11 K 0.7297 0.7297 0.2451 1
K12 K 0.7549 0.4846 0.4846 1
Bi1 Bi 0.0000 0.0000 0.7034 1
Bi2 Bi 0.0000 0.7034 0.0000 1
Bi3 Bi 0.2966 0.2966 0.2966 1
Bi4 Bi 0.7034 0.0000 0.0000 1
O1 O 0.0000 0.5280 0.7900 1
O2 O 0.0000 0.7900 0.5280 1
O3 O 0.2100 0.2100 0.7380 1
O4 O 0.2100 0.7380 0.2100 1
O5 O 0.2620 0.4720 0.4720 1
O6 O 0.4720 0.2620 0.4720 1
O7 O 0.4720 0.4720 0.2620 1
O8 O 0.5280 0.0000 0.7900 1
O9 O 0.5280 0.7900 0.0000 1
O10 O 0.7380 0.2100 0.2100 1
O11 O 0.7900 0.0000 0.5280 1
O12 O 0.7900 0.5280 0.0000 1
```

Peak list (6 most intense, 2θ from 10° to 80°, low angle first)
d/Å  Rel. int.
4.444  100
3.143  60
2.722  53
2.566  29
1.988  43
1.924  28